Structure and calculated powder diffraction line list of Li5CrO5 (a crystal structure in the Materials Project, relaxed with GGA+U; Cu Kα X-rays).

```
data_Li5CrO5
_symmetry_space_group_name_H-M 'C 1 2 1'
_symmetry_Int_Tables_number 5
_symmetry_space_group_name_Hall 'C 2y'
_cell_length_a 9.420
_cell_length_b 4.106
_cell_length_c 21.597
_cell_angle_alpha 90.00
_cell_angle_beta 95.63
_cell_angle_gamma 90.00
loop_
_atom_site_label
_atom_site_fract_x
_atom_site_fract_y
_atom_site_fract_z
Li1 0.024 0.000 0.215
Li2 0.025 0.499 0.715
Li3 0.125 0.002 0.335
Li4 0.125 0.002 0.915
Li5 0.125 0.480 0.125
Li6 0.125 0.502 0.416
Li7 0.125 0.502 0.835
Li8 0.125 0.981 0.625
Li9 0.225 0.000 0.035
Li10 0.225 0.500 0.535
Cr1 0.000 0.068 0.500
Cr2 0.000 0.569 0.000
Cr3 0.249 0.569 0.250
O1 0.000 0.477 0.500
O2 0.000 0.978 0.000
O3 0.068 0.487 0.208
O4 0.069 0.987 0.708
O5 0.076 0.490 0.923
O6 0.076 0.989 0.423
O7 0.173 0.490 0.327
O8 0.174 0.990 0.827
O9 0.182 0.487 0.042
O10 0.182 0.986 0.542
O11 0.250 0.478 0.750
```

Main lines, by angle (15° ≤ 2θ ≤ 90°):
- (0 0 4), 16.5 deg, I = 100
- (2 0 -2), 19.9 deg, I = 20
- (2 0 2), 21.4 deg, I = 46
- (1 1 -1), 23.9 deg, I = 88
- (1 1 3), 27.2 deg, I = 18
- (2 0 -6), 29.9 deg, I = 19
- (4 0 4), 43.6 deg, I = 30
- (0 2 0), 44.1 deg, I = 32
- (2 0 -10), 44.6 deg, I = 29
- (3 1 -11), 57.7 deg, I = 11
- (4 2 4), 63.8 deg, I = 12
- (2 2 -10), 64.6 deg, I = 12